For Er7Pd2Au2, a structure optimized by DFT (PBE) gives the calculated PXRD pattern in this record (Cu Kα X-rays).

Crystal structure
```
data_Er7Pd2Au2
_cell_length_a 9.3421
_cell_length_b 9.3421
_cell_length_c 9.3421
_cell_angle_alpha 156.75
_cell_angle_beta 66.61
_cell_angle_gamma 118.57
_symmetry_space_group_name_H-M 'P 1'
_symmetry_Int_Tables_number 1
_symmetry_space_group_name_Hall 'P 1'
loop_
_atom_site_label
_atom_site_type_symbol
_atom_site_fract_x
_atom_site_fract_y
_atom_site_fract_z
Er1 Er 0.0000 0.0000 0.0000
Er2 Er 0.0769 0.3888 0.6881
Er3 Er 0.1196 0.7510 0.3686
Er4 Er 0.3824 0.7510 0.6314
Er5 Er 0.4794 0.5953 0.8841
Er6 Er 0.7006 0.3888 0.3119
Er7 Er 0.7113 0.5953 0.1159
Pd1 Pd 0.3327 0.0916 0.2411
Pd2 Pd 0.8505 0.0916 0.7589
Au1 Au 0.3457 0.3457 0.0000
Au2 Au 0.7585 0.2585 0.5000
```

Most intense lines, 10° ≤ 2θ ≤ 80°, most intense first:
| 2theta | Rel. int. |
| --- | --- |
| 34.40 | 100 |
| 33.00 | 45 |
| 30.79 | 40 |
| 34.91 | 34 |
| 38.81 | 28 |
| 48.35 | 24 |
| 39.46 | 24 |
| 30.11 | 22 |
| 59.78 | 17 |
| 36.99 | 15 |